For La2CuIr, a structure optimized by DFT (GGA-PBE) gives the computed XRD peak list in this record (Cu Kα, 1.54184 Å).
Lines closer than 0.1° are merged.

The 10 most intense peaks (2θ from 10° to 90°), most intense first:
h k l, 2θ/deg, intensity
2 2 0, 35.05, 100
4 2 2, 62.87, 36
4 0 0, 50.40, 18
6 2 0, 84.64, 16
1 1 1, 21.25, 12
4 4 0, 74.05, 11
3 1 1, 41.35, 6
3 3 1, 55.29, 3
5 3 1, 78.07, 2
5 1 1, 67.17, 2

Crystal structure
```
data_La2CuIr
_chemical_formula_sum 'La8 Cu4 Ir4'
_cell_length_a 7.242
_cell_length_b 7.242
_cell_length_c 7.242
_cell_angle_alpha 90.00
_cell_angle_beta 90.00
_cell_angle_gamma 90.00
_symmetry_space_group_name_H-M 'P 1'
_symmetry_Int_Tables_number 1
loop_
_symmetry_equiv_pos_as_xyz
'x,y,z'
loop_
_atom_site_label
_atom_site_type_symbol
_atom_site_fract_x
_atom_site_fract_y
_atom_site_fract_z
_atom_site_occupancy
La1 La 0.250 0.250 0.250 1
La2 La 0.250 0.250 0.750 1
La3 La 0.250 0.750 0.250 1
La4 La 0.250 0.750 0.750 1
La5 La 0.750 0.250 0.250 1
La6 La 0.750 0.250 0.750 1
La7 La 0.750 0.750 0.250 1
La8 La 0.750 0.750 0.750 1
Cu1 Cu 0.000 0.000 0.000 1
Cu2 Cu 0.000 0.500 0.500 1
Cu3 Cu 0.500 0.000 0.500 1
Cu4 Cu 0.500 0.500 0.000 1
Ir1 Ir 0.000 0.000 0.500 1
Ir2 Ir 0.000 0.500 0.000 1
Ir3 Ir 0.500 0.000 0.000 1
Ir4 Ir 0.500 0.500 0.500 1
```